AcYSi2Au2: simulated powder diffraction line list (copper Kα), based on a cell relaxed with GGA-PBE.
Kinematic intensities with the Lorentz-polarization factor, no thermal factor.

Peak list (6 most intense, 10 to 90 degrees two-theta, low angle first)
| 2θ (°) | d_spacing | intensity | hkl |
| --- | --- | --- | --- |
| 25.83 | 3.449 | 65 | 0 1 1 |
| 31.97 | 2.799 | 100 | 1 0 2 |
| 41.24 | 2.189 | 51 | 1 1 0 |
| 53.11 | 1.724 | 24 | 0 2 2 |
| 61.58 | 1.506 | 23 | 1 1 4 |
| 69.38 | 1.355 | 22 | 2 1 2 |

Structural model:
```
AcYSi2Au2
1.0
4.3782 0.0000 0.0000
-2.1891 3.7916 0.0000
0.0000 0.0000 8.3013
Ac Y Si Au
1 1 2 2
direct
0.0000 0.0000 0.0000
0.0000 0.0000 0.5000
0.3333 0.6667 0.7337
0.6667 0.3333 0.2663
0.3333 0.6667 0.2800
0.6667 0.3333 0.7200
```